This entry pairs a crystal structure of BaSr3Mn4O12 with its theoretical X-ray powder pattern. Radiation: Cu Kα. Structure: a crystal structure in Alexandria, relaxed with GGA+U.
Neutral-atom scattering factors, no anomalous dispersion.

Crystal structure
Unit cell a=5.5892 b=5.5892 c=9.3373 alpha=90.00 beta=90.00 gamma=120.00
Space group P-6m2 (No. 187)
Asymmetric unit:
Ba (0.0000, 0.0000, 0.0000) [1 per cell]
Sr (0.3333, 0.6667, 0.2670) [2 per cell]
Sr (0.6667, 0.3333, 0.5000) [1 per cell]
Mn (0.0000, 0.0000, 0.3629) [2 per cell]
Mn (0.6667, 0.3333, 0.1378) [2 per cell]
O (0.1519, 0.3038, 0.5000) [3 per cell]
O (0.3376, 0.1688, 0.2558) [6 per cell]
O (0.5171, 0.0343, 0.0000) [3 per cell]

Most intense lines, 2θ = 10–90°, sorted by position:
| 2θ/deg | intensity |
| --- | --- |
| 26.53 | 542 |
| 32.03 | 1000 |
| 34.25 | 555 |
| 42.05 | 499 |
| 47.59 | 385 |
| 53.82 | 126 |
| 57.08 | 186 |
| 58.52 | 257 |
| 62.86 | 111 |
| 66.97 | 210 |